Record 1
Structure and calculated powder X-ray diffraction pattern of RbMnCu3Se4 (DFT lattice parameters and positions (PBE); Cu Kα, 1.54184 Å).
Intensities are scaled so that the largest is 100.

```
RbMnCu3Se4
1.0
6.141 0.000 0.000
0.000 6.141 0.000
0.000 0.000 6.141
Rb Mn Cu Se
1 1 3 4
direct
0.000 0.000 0.000
0.500 0.500 0.500
0.000 0.500 0.500
0.500 0.000 0.500
0.500 0.500 0.000
0.283 0.283 0.717
0.283 0.717 0.283
0.717 0.283 0.283
0.717 0.717 0.717
```

The 10 most intense peaks (10 to 90 degrees two-theta), sorted by position:
2θ (°)	I/Imax
14.42	22
20.45	13
25.12	99
35.82	15
41.60	100
49.21	39
60.29	13
64.36	10
66.35	11
75.91	23


Record 2
Structure and calculated powder X-ray diffraction pattern of Cu4WS4Cl4 (DFT lattice parameters and positions (PBE); Cu Kα, 1.54184 Å).
Intensities are scaled so that the largest is 100.

```
Cu4WS4Cl4
1.0
7.331 -6.918 0.000
7.331 6.918 0.000
-2.313 0.000 5.673
Cu W S Cl
8 2 8 8
direct
0.125 0.875 0.000
0.129 0.129 0.622
0.234 0.497 0.378
0.497 0.234 0.378
0.503 0.766 0.622
0.766 0.503 0.622
0.871 0.871 0.378
0.875 0.125 0.000
0.500 0.500 0.000
0.500 0.500 0.500
0.350 0.350 0.113
0.350 0.350 0.614
0.351 0.648 0.750
0.352 0.649 0.250
0.648 0.351 0.750
0.649 0.352 0.250
0.650 0.650 0.386
0.650 0.650 0.887
0.001 0.250 0.369
0.002 0.250 0.869
0.250 0.001 0.369
0.250 0.002 0.869
0.750 0.998 0.131
0.750 0.999 0.631
0.998 0.750 0.131
0.999 0.750 0.631
```

The 10 most intense peaks (10 to 90 degrees two-theta), sorted by position:
2θ (°)	I/Imax
12.80	100
13.04	88
18.31	19
20.33	21
20.65	21
24.16	28
39.95	42
41.27	50
48.10	39
49.28	19


Record 3
Structure and calculated powder X-ray diffraction pattern of AlH6ClO4 (DFT lattice parameters and positions (PBE); Cu Kα, 1.54184 Å).
Intensities are scaled so that the largest is 100.

```
AlH6ClO4
1.0
4.387 -6.753 0.000
4.387 6.753 0.000
-2.932 0.000 4.324
Al H Cl O
2 12 2 8
direct
0.050 0.950 0.750
0.950 0.050 0.250
0.116 0.412 0.271
0.125 0.685 0.871
0.176 0.324 0.834
0.315 0.875 0.629
0.324 0.176 0.334
0.412 0.116 0.771
0.588 0.884 0.229
0.676 0.824 0.666
0.685 0.125 0.371
0.824 0.676 0.166
0.875 0.315 0.129
0.884 0.588 0.729
0.338 0.662 0.250
0.662 0.338 0.750
0.010 0.684 0.729
0.102 0.177 0.679
0.177 0.102 0.179
0.316 0.990 0.771
0.684 0.010 0.229
0.823 0.898 0.821
0.898 0.823 0.321
0.990 0.316 0.271
```

The 10 most intense peaks (10 to 90 degrees two-theta), sorted by position:
2θ (°)	I/Imax
13.85	100
23.25	42
24.46	83
25.15	36
31.30	15
33.68	24
41.78	24
42.37	23
45.72	34
63.65	23


Record 4
Structure and calculated powder X-ray diffraction pattern of Th3Pt5 (DFT lattice parameters and positions (PBE); Cu Kα, 1.54184 Å).
Intensities are scaled so that the largest is 100.

```
Th3Pt5
1.0
7.279 0.000 0.000
-3.639 6.303 0.000
0.000 0.000 3.887
Th Pt
3 5
direct
0.000 0.641 0.000
0.359 0.359 0.000
0.641 0.000 0.000
0.000 0.228 0.500
0.228 0.000 0.500
0.333 0.667 0.500
0.667 0.333 0.500
0.772 0.772 0.500
```

The 10 most intense peaks (10 to 90 degrees two-theta), sorted by position:
2θ (°)	I/Imax
33.74	100
36.71	18
37.76	32
43.05	25
44.61	22
46.74	16
61.58	16
65.42	15
72.96	22
78.34	9


Record 5
Structure and calculated powder X-ray diffraction pattern of NaZrP2O9 (DFT lattice parameters and positions (PBE); Cu Kα, 1.54184 Å).
Intensities are scaled so that the largest is 100.

```
NaZrP2O9
1.0
9.168 0.000 0.000
0.000 5.526 0.000
-1.120 0.000 15.680
Na Zr P O
4 4 8 36
direct
0.095 0.200 0.165
0.095 0.300 0.665
0.905 0.700 0.335
0.905 0.800 0.835
0.251 0.749 0.020
0.251 0.751 0.520
0.749 0.249 0.480
0.749 0.251 0.980
0.098 0.246 0.897
0.098 0.254 0.397
0.436 0.246 0.605
0.436 0.254 0.105
0.564 0.746 0.895
0.564 0.754 0.395
0.902 0.746 0.603
0.902 0.754 0.103
0.070 0.724 0.592
0.070 0.776 0.092
0.125 0.224 0.305
0.125 0.276 0.805
0.156 0.037 0.454
0.156 0.463 0.954
0.166 0.008 0.937
0.166 0.492 0.437
0.330 0.710 0.799
0.330 0.790 0.299
0.332 0.039 0.103
0.332 0.461 0.603
0.352 0.009 0.609
0.352 0.491 0.109
0.452 0.748 0.462
0.452 0.752 0.962
0.471 0.720 0.299
0.471 0.780 0.799
0.529 0.220 0.201
0.529 0.280 0.701
0.548 0.248 0.038
0.548 0.252 0.538
0.648 0.509 0.891
0.648 0.991 0.391
0.668 0.539 0.397
0.668 0.961 0.897
0.670 0.210 0.701
0.670 0.290 0.201
0.834 0.508 0.563
0.834 0.992 0.063
0.844 0.537 0.046
0.844 0.963 0.546
0.875 0.724 0.195
0.875 0.776 0.695
0.930 0.224 0.908
0.930 0.276 0.408
```

The 10 most intense peaks (10 to 90 degrees two-theta), sorted by position:
2θ (°)	I/Imax
11.29	100
18.76	17
21.79	42
22.31	99
25.30	14
28.93	27
30.14	37
32.40	23
33.57	26
52.13	16


Record 6
Structure and calculated powder X-ray diffraction pattern of NbGeAs (DFT lattice parameters and positions (PBE); Cu Kα, 1.54184 Å).
Intensities are scaled so that the largest is 100.

```
NbGeAs
1.0
3.603 0.000 0.000
0.000 3.603 0.000
0.000 0.000 8.010
Nb Ge As
2 2 2
direct
0.250 0.250 0.240
0.750 0.750 0.760
0.250 0.750 0.500
0.750 0.250 0.500
0.250 0.250 0.890
0.750 0.750 0.110
```

The 10 most intense peaks (10 to 90 degrees two-theta), sorted by position:
2θ (°)	I/Imax
27.14	14
33.46	15
33.56	16
35.23	16
37.03	57
42.08	100
50.68	35
62.14	16
67.95	24
89.45	17


- Number 3 is which compound?
  AlH6ClO4